Diffraction record for La2Sn2HgRh5. The powder diffractogram is simulated, not measured: it uses a DFT-relaxed cell (GGA-PBE, Alexandria) and Cu Kα.
Neutral-atom scattering factors, no anomalous dispersion.

Main lines, by angle (10 to 90 degrees two-theta):
hkl 3 1 0, 27.18°, I 11; hkl 2 2 1, 34.05°, I 25; hkl 4 1 0, 35.68°, I 29; hkl 3 1 1, 36.25°, I 100; hkl 4 2 0, 38.82°, I 16; hkl 3 2 1, 39.35°, I 28; hkl 0 0 2, 48.13°, I 19; hkl 4 1 2, 61.33°, I 12

Cell and atoms:
```
data_La2Sn2HgRh5
_chemical_formula_sum 'La4 Sn4 Hg2 Rh10'
_symmetry_space_group_name_H-M 'P 4/m b m'
_symmetry_Int_Tables_number 127
_symmetry_space_group_name_Hall '-P 4 2ab'
_cell_length_a 10.3753
_cell_length_b 10.3753
_cell_length_c 3.7813
_cell_angle_alpha 90.00
_cell_angle_beta 90.00
_cell_angle_gamma 90.00
loop_
_atom_site_label
_atom_site_type_symbol
_atom_site_fract_x
_atom_site_fract_y
_atom_site_fract_z
_atom_site_occupancy
La1 La 0.1737 0.3263 0.0000 1
Sn1 Sn 0.1250 0.6250 0.0000 1
Hg1 Hg 0.0000 0.0000 0.0000 1
Rh1 Rh 0.0000 0.5000 0.5000 1
Rh2 Rh 0.0614 0.7949 0.5000 1
```